Diffraction record for TlVTeO5. The X-ray diffraction stick pattern is theoretical, not measured: it uses a structure optimized by DFT (GGA+U) and CuKα.
Intensities are scaled so that the largest is 100.

Principal peaks in the range 10° ≤ 2θ ≤ 90°, by angle:
2theta  I_rel  h k l
24.23  32  2 0 0
26.06  75  1 2 1
27.39  100  1 1 2
28.61  33  2 1 1
31.69  24  2 2 0
32.42  22  0 3 1
43.78  19  3 2 1
44.63  24  3 1 2
48.42  18  1 1 4
52.68  21  2 3 3

Atomic structure:
```
32
Lattice="7.3451 0.0000 0.0000 0.0000 8.8318 0.0000 0.0000 0.0000 7.9698" Properties=species:S:1:pos:R:3 pbc="T T T"
Tl 0.1712 0.9071 0.0000
Tl 3.5014 5.3230 3.9849
Tl 3.8438 3.5087 0.0000
Tl 7.1739 7.9246 3.9849
V 1.6345 6.5652 6.9997
V 2.0380 2.1493 3.0148
V 5.3071 6.6825 6.9997
V 5.7106 2.2666 3.0148
Te 0.1416 4.7161 1.5092
Te 3.5310 0.3002 5.4941
Te 3.8141 8.5316 1.5092
Te 7.2036 4.1157 5.4941
O 0.4510 1.5546 2.8051
O 0.7537 4.8681 7.6055
O 0.9582 5.6105 5.1404
O 1.6726 7.2336 0.5948
O 1.7796 3.7425 1.9568
O 1.8930 8.1584 5.9417
O 2.0000 2.8177 4.5797
O 2.7144 1.1946 1.1555
O 2.9189 0.4522 3.6206
O 3.2215 5.9705 6.7900
O 4.1236 2.8613 2.8051
O 4.4262 8.3796 7.6055
O 4.6307 7.6371 5.1404
O 5.3452 6.0141 0.5948
O 5.4521 0.6734 1.9568
O 5.5656 5.0893 5.9417
O 5.6725 1.5982 4.5797
O 6.3870 3.2213 1.1555
O 6.5915 3.9637 3.6206
O 6.8941 7.2772 6.7900
```